No. 1
Diffraction record for Ta2Co4O9. The X-ray diffraction stick pattern is theoretical, not measured: it uses a DFT-relaxed cell (PBE+U, the Materials Project) and Cu Ka.

Crystal structure
a b c (Å): 5.1983 8.9423 14.5642
angles (deg): 90.00 89.99 89.99
Space group P1 (No. 1)
Symmetry-distinct sites (fractional):
Ta 0.0000 0.0000 0.0000 (multiplicity 1)
Ta 0.0000 0.0018 0.5008 (multiplicity 1)
Ta 0.0008 0.9528 0.2106 (multiplicity 1)
Ta 0.0016 0.9509 0.7097 (multiplicity 1)
Ta 0.5004 0.4507 0.5013 (multiplicity 1)
Ta 0.4996 0.4530 0.0002 (multiplicity 1)
Ta 0.5003 0.5015 0.7099 (multiplicity 1)
Ta 0.5009 0.4999 0.2107 (multiplicity 1)
Co 0.0011 0.3122 0.1632 (multiplicity 1)
Co 0.0009 0.6400 0.0468 (multiplicity 1)
Co 0.0021 0.3112 0.6673 (multiplicity 1)
Co 0.0040 0.3136 0.3571 (multiplicity 1)
Co 0.0039 0.6395 0.8537 (multiplicity 1)
Co 0.0051 0.6414 0.5421 (multiplicity 1)
Co 0.4973 0.1391 0.8566 (multiplicity 1)
Co 0.4974 0.8140 0.3536 (multiplicity 1)
Co 0.5010 0.1406 0.1631 (multiplicity 1)
Co 0.5010 0.8126 0.0471 (multiplicity 1)
Co 0.5041 0.1394 0.3570 (multiplicity 1)
Co 0.5039 0.8110 0.5425 (multiplicity 1)
Co 0.5044 0.8136 0.8536 (multiplicity 1)
Co 0.5046 0.1397 0.6687 (multiplicity 1)
Co 0.9971 0.3146 0.8572 (multiplicity 1)
Co 0.9976 0.6389 0.3539 (multiplicity 1)
O 0.1451 0.8299 0.1052 (multiplicity 1)
O 0.1459 0.1223 0.1052 (multiplicity 1)
O 0.1655 0.1447 0.4284 (multiplicity 1)
O 0.1658 0.8082 0.7823 (multiplicity 1)
O 0.1706 0.1379 0.7578 (multiplicity 1)
O 0.1710 0.8147 0.4529 (multiplicity 1)
O 0.1742 0.4698 0.7693 (multiplicity 1)
O 0.1745 0.4827 0.4416 (multiplicity 1)
O 0.2177 0.4763 0.1054 (multiplicity 1)
O 0.2861 0.9769 0.6050 (multiplicity 1)
O 0.3281 0.3163 0.2591 (multiplicity 1)
O 0.3276 0.6359 0.9513 (multiplicity 1)
O 0.3299 0.9694 0.9422 (multiplicity 1)
O 0.3298 0.9829 0.2688 (multiplicity 1)
O 0.3375 0.3079 0.9286 (multiplicity 1)
O 0.3375 0.6447 0.2821 (multiplicity 1)
O 0.3549 0.6222 0.6060 (multiplicity 1)
O 0.3559 0.3303 0.6049 (multiplicity 1)
O 0.6452 0.6227 0.1054 (multiplicity 1)
O 0.6460 0.3304 0.1053 (multiplicity 1)
O 0.6658 0.3081 0.4286 (multiplicity 1)
O 0.6656 0.6446 0.7822 (multiplicity 1)
O 0.6706 0.3149 0.7579 (multiplicity 1)
O 0.6712 0.6379 0.4531 (multiplicity 1)
O 0.6740 0.9697 0.4415 (multiplicity 1)
O 0.6736 0.9831 0.7688 (multiplicity 1)
O 0.7176 0.9765 0.1054 (multiplicity 1)
O 0.7875 0.4769 0.6055 (multiplicity 1)
O 0.8272 0.8171 0.9513 (multiplicity 1)
O 0.8281 0.1365 0.2591 (multiplicity 1)
O 0.8299 0.4699 0.2688 (multiplicity 1)
O 0.8301 0.4837 0.9425 (multiplicity 1)
O 0.8374 0.1450 0.9285 (multiplicity 1)
O 0.8376 0.8082 0.2821 (multiplicity 1)
O 0.8549 0.1226 0.6045 (multiplicity 1)
O 0.8547 0.8309 0.6062 (multiplicity 1)

Top 10 peaks for 10° ≤ 2θ ≤ 90°, in order of rising 2θ:
2θ = 19.75°, intensity 43, hkl 1 1 0
2θ = 19.86°, intensity 21, hkl 0 2 0
2θ = 23.28°, intensity 21, hkl 1 1 -2
2θ = 29.06°, intensity 20, hkl 1 -2 2
2θ = 31.65°, intensity 100, hkl 1 1 4
2θ = 34.51°, intensity 28, hkl 2 0 0
2θ = 34.69°, intensity 49, hkl 1 3 0
2θ = 47.55°, intensity 22, hkl 2 2 4
2θ = 51.65°, intensity 29, hkl 1 3 -6
2θ = 67.63°, intensity 19, hkl 1 1 10

No. 2
Diffraction record for TaZn2CoO6. The X-ray diffraction stick pattern is theoretical, not measured: it uses a DFT-relaxed cell (PBE+U, the Materials Project) and Cu Ka.

Crystal structure
a b c (Å): 5.1406 7.5899 5.2692
angles (deg): 90.00 91.20 90.00
Space group P2_1/m (No. 11)
Symmetry-distinct sites (fractional):
Ta 0.0000 0.0000 0.0000 (multiplicity 2)
Zn 0.0031 0.2500 0.5269 (multiplicity 2)
Zn 0.4876 0.2500 0.0576 (multiplicity 2)
Co 0.5000 0.0000 0.5000 (multiplicity 2)
O 0.1252 0.7500 0.0516 (multiplicity 2)
O 0.1892 0.0631 0.3176 (multiplicity 4)
O 0.3192 0.0650 0.8081 (multiplicity 4)
O 0.3774 0.7500 0.5690 (multiplicity 2)

Top 10 peaks for 10° ≤ 2θ ≤ 90°, in order of rising 2θ:
2θ = 16.83°, intensity 18, hkl 0 0 1
2θ = 17.25°, intensity 18, hkl 1 0 0
2θ = 33.75°, intensity 70, hkl 1 2 -1
2θ = 34.10°, intensity 100, hkl 1 2 1
2θ = 34.92°, intensity 30, hkl 2 0 0
2θ = 47.94°, intensity 18, hkl 0 4 0
2θ = 60.10°, intensity 15, hkl 0 4 2
2θ = 60.67°, intensity 15, hkl 2 4 0
2θ = 61.63°, intensity 16, hkl 3 2 -1
2θ = 62.35°, intensity 16, hkl 3 2 1

No. 3
Diffraction record for Co2TcO4. The X-ray diffraction stick pattern is theoretical, not measured: it uses a DFT-relaxed cell (PBE+U, the Materials Project) and Cu Ka.

Crystal structure
a b c (Å): 10.5718 6.1748 5.7536
angles (deg): 90.00 122.89 90.00
Space group C2/m (No. 12)
Symmetry-distinct sites (fractional):
Co 0.1340 0.0000 0.3843 (multiplicity 4)
Co 0.2500 0.2500 0.0000 (multiplicity 4)
Tc 0.0000 0.5000 0.0000 (multiplicity 2)
Tc 0.0000 0.5000 0.5000 (multiplicity 2)
O 0.0017 0.2589 0.7512 (multiplicity 8)
O 0.2264 0.5000 0.2123 (multiplicity 4)
O 0.2262 0.5000 0.7404 (multiplicity 4)

Top 10 peaks for 10° ≤ 2θ ≤ 90°, in order of rising 2θ:
2θ = 17.49°, intensity 65, hkl 1 1 0
2θ = 29.24°, intensity 33, hkl 3 1 -1
2θ = 33.58°, intensity 55, hkl 3 1 0
2θ = 34.07°, intensity 27, hkl 4 0 -1
2θ = 34.48°, intensity 60, hkl 0 2 1
2θ = 35.89°, intensity 100, hkl 3 1 -2
2θ = 37.25°, intensity 24, hkl 0 0 2
2θ = 42.97°, intensity 37, hkl 2 2 -2
2θ = 55.89°, intensity 29, hkl 3 3 -2
2θ = 60.64°, intensity 71, hkl 2 2 2

No. 4
Diffraction record for Co4TeO8. The X-ray diffraction stick pattern is theoretical, not measured: it uses a DFT-relaxed cell (PBE+U, the Materials Project) and Cu Ka.

Crystal structure
a b c (Å): 5.9368 5.9453 6.0042
angles (deg): 92.57 117.30 118.67
Space group P-1 (No. 2)
Symmetry-distinct sites (fractional):
Co 0.0000 0.0000 0.0000 (multiplicity 1)
Co 0.0000 0.0000 0.5000 (multiplicity 1)
Co 0.0000 0.5000 0.0000 (multiplicity 1)
Co 0.5000 0.5000 0.0000 (multiplicity 1)
Te 0.5000 0.5000 0.5000 (multiplicity 1)
O 0.0440 0.2547 0.2597 (multiplicity 2)
O 0.0623 0.2482 0.8099 (multiplicity 2)
O 0.4978 0.7090 0.7590 (multiplicity 2)
O 0.4995 0.7338 0.2822 (multiplicity 2)

Top 10 peaks for 10° ≤ 2θ ≤ 90°, in order of rising 2θ:
2θ = 18.07°, intensity 100, hkl 1 -1 0
2θ = 18.24°, intensity 18, hkl 1 0 -1
2θ = 34.37°, intensity 13, hkl 1 1 0
2θ = 35.38°, intensity 12, hkl -1 1 2
2θ = 35.78°, intensity 13, hkl 0 0 2
2θ = 36.62°, intensity 21, hkl 2 -2 0
2θ = 41.44°, intensity 27, hkl 2 0 0
2θ = 41.85°, intensity 26, hkl 0 2 -2
2θ = 43.87°, intensity 24, hkl -2 2 2
2θ = 61.17°, intensity 15, hkl 0 2 2

No. 5
Diffraction record for Co3TeO8. The X-ray diffraction stick pattern is theoretical, not measured: it uses a DFT-relaxed cell (PBE+U, the Materials Project) and Cu Ka.

Crystal structure
a b c (Å): 5.9014 5.9139 10.5930
angles (deg): 74.61 74.59 61.82
Space group P-1 (No. 2)
Symmetry-distinct sites (fractional):
Co 0.0000 0.0000 0.0000 (multiplicity 1)
Co 0.0000 0.0000 0.5000 (multiplicity 1)
Co 0.0000 0.5000 0.0000 (multiplicity 1)
Co 0.5000 0.0000 0.5000 (multiplicity 1)
Co 0.5000 0.5000 0.0000 (multiplicity 1)
Co 0.5000 0.5000 0.5000 (multiplicity 1)
Te 0.0000 0.5000 0.5000 (multiplicity 1)
Te 0.5000 0.0000 0.0000 (multiplicity 1)
O 0.1013 0.6571 0.6042 (multiplicity 2)
O 0.1283 0.1364 0.5989 (multiplicity 2)
O 0.1386 0.1190 0.1008 (multiplicity 2)
O 0.1419 0.6482 0.0826 (multiplicity 2)
O 0.3460 0.8964 0.8954 (multiplicity 2)
O 0.3561 0.3888 0.4019 (multiplicity 2)
O 0.3565 0.8612 0.4199 (multiplicity 2)
O 0.3812 0.3574 0.9033 (multiplicity 2)

Top 10 peaks for 10° ≤ 2θ ≤ 90°, in order of rising 2θ:
2θ = 17.61°, intensity 100, hkl 0 0 2
2θ = 34.94°, intensity 24, hkl 0 2 0
2θ = 35.65°, intensity 6, hkl 0 0 4
2θ = 35.99°, intensity 10, hkl 2 2 2
2θ = 36.56°, intensity 8, hkl 0 2 2
2θ = 42.05°, intensity 28, hkl 0 2 -2
2θ = 43.19°, intensity 13, hkl 2 2 4
2θ = 46.14°, intensity 7, hkl 2 0 4
2θ = 55.13°, intensity 10, hkl 2 0 -4
2θ = 60.73°, intensity 7, hkl 2 0 6